# Cs2PbBr3Cl
Calculated powder diffraction line list, λ = 1.5418 Å (Cu Kα). Input: DFT lattice parameters and positions (GGA-PBE).

Crystal structure
```
data_Cs2PbBr3Cl
_chemical_formula_sum 'Cs4 Pb2 Br6 Cl2'
_cell_length_a 5.7197
_cell_length_b 5.9608
_cell_length_c 18.3943
_cell_angle_alpha 90.00
_cell_angle_beta 90.00
_cell_angle_gamma 90.00
_space_group_name_H-M_alt 'P 1'
_space_group_IT_number 1
loop_
_space_group_symop_operation_xyz
'x,y,z'
loop_
_atom_site_label
_atom_site_type_symbol
_atom_site_fract_x
_atom_site_fract_y
_atom_site_fract_z
Cs1 Cs 0.0000 0.0000 0.1399
Cs2 Cs 0.0000 0.0000 0.8601
Cs3 Cs 0.5000 0.5000 0.3601
Cs4 Cs 0.5000 0.5000 0.6399
Pb1 Pb 0.0000 0.0000 0.5000
Pb2 Pb 0.5000 0.5000 0.0000
Br1 Br 0.0000 0.0000 0.3351
Br2 Br 0.0000 0.0000 0.6649
Br3 Br 0.0000 0.5000 0.5000
Br4 Br 0.5000 0.0000 0.0000
Br5 Br 0.5000 0.5000 0.1649
Br6 Br 0.5000 0.5000 0.8351
Cl1 Cl 0.0000 0.5000 0.0000
Cl2 Cl 0.5000 0.0000 0.5000
```

Top 12 peaks for 2θ = 15–90°, sorted by position:
2θ (°), I/Imax, h k l
21.24, 38, 1 0 3
21.53, 100, 1 1 0
28.86, 31, 1 0 5
29.11, 59, 0 0 6
29.98, 48, 0 2 0
31.28, 43, 2 0 0
36.51, 31, 1 1 6
42.10, 22, 1 2 5
42.29, 26, 0 2 6
43.26, 24, 2 0 6
43.88, 33, 2 2 0
53.53, 26, 2 2 6